Record 1
Diffraction record for CeSc4Tl5. The XRD peak list is simulated, not measured: it uses a DFT-relaxed cell (PBE, Alexandria) and Cu Kα X-rays.
No peak broadening, texture or thermal motion is included.

```
data_CeSc4Tl5
_chemical_formula_sum 'Ce1 Sc4 Tl5'
_symmetry_space_group_name_H-M 'P 4/m m m'
_symmetry_Int_Tables_number 123
_symmetry_space_group_name_Hall '-P 4 2'
_cell_length_a 3.584
_cell_length_b 3.584
_cell_length_c 19.147
_cell_angle_alpha 90.00
_cell_angle_beta 90.00
_cell_angle_gamma 90.00
loop_
_atom_site_label
_atom_site_fract_x
_atom_site_fract_y
_atom_site_fract_z
Ce1 0.000 0.000 0.000
Sc1 0.000 0.000 0.213
Sc2 0.000 0.000 0.405
Tl1 0.500 0.500 0.116
Tl2 0.500 0.500 0.309
Tl3 0.500 0.500 0.500
```

Peak list (10 most intense, 10 to 90 degrees two-theta, in order of rising 2θ)
- 2θ 23.23, I = 16, (0 0 5)
- 2θ 24.84, I = 33, (1 0 0)
- 2θ 34.27, I = 100, (1 0 5)
- 2θ 35.42, I = 52, (1 1 0)
- 2θ 42.79, I = 14, (1 1 5)
- 2θ 50.96, I = 18, (2 0 0)
- 2θ 60.61, I = 13, (1 1 10)
- 2θ 62.85, I = 35, (2 1 5)
- 2θ 85.05, I = 8, (3 0 5)
- 2θ 85.71, I = 8, (3 1 0)

---

Record 2
Diffraction record for CeTm5Sc. The XRD peak list is simulated, not measured: it uses a DFT-relaxed cell (PBE, Alexandria) and Cu Kα X-rays.
No peak broadening, texture or thermal motion is included.

```
data_CeTm5Sc
_chemical_formula_sum 'Ce2 Tm10 Sc2'
_symmetry_space_group_name_H-M 'C 1 m 1'
_symmetry_Int_Tables_number 8
_cell_length_a 10.930
_cell_length_b 4.918
_cell_length_c 7.725
_cell_angle_alpha 90.00
_cell_angle_beta 98.56
_cell_angle_gamma 90.00
loop_
_symmetry_equiv_pos_as_xyz
'x,y,z'
'x,-y,z'
'x+1/2,y+1/2,z'
'x+1/2,-y+1/2,z'
loop_
_atom_site_label
_atom_site_fract_x
_atom_site_fract_y
_atom_site_fract_z
Ce1 0.000 0.000 0.000
Tm1 0.071 0.500 0.711
Tm2 0.212 0.500 0.142
Tm3 0.286 0.000 0.850
Tm4 0.358 0.500 0.565
Tm5 0.429 0.000 0.282
Sc1 0.141 0.000 0.426
```

Peak list (10 most intense, 10 to 90 degrees two-theta, in order of rising 2θ)
- 2θ 31.60, I = 100, (3 1 -1)
- 2θ 31.72, I = 99, (1 1 2)
- 2θ 36.54, I = 34, (0 2 0)
- 2θ 36.71, I = 33, (2 0 -3)
- 2θ 36.90, I = 33, (4 0 1)
- 2θ 52.76, I = 24, (2 2 -3)
- 2θ 52.89, I = 36, (4 2 1)
- 2θ 62.74, I = 28, (1 3 2)
- 2θ 63.09, I = 28, (7 1 0)
- 2θ 86.60, I = 18, (7 3 0)

---

What did the second record say?
Diffraction record for CeTm5Sc. The XRD peak list is simulated, not measured: it uses a DFT-relaxed cell (PBE, Alexandria) and Cu Kα X-rays.
No peak broadening, texture or thermal motion is included.

```
data_CeTm5Sc
_chemical_formula_sum 'Ce2 Tm10 Sc2'
_symmetry_space_group_name_H-M 'C 1 m 1'
_symmetry_Int_Tables_number 8
_cell_length_a 10.930
_cell_length_b 4.918
_cell_length_c 7.725
_cell_angle_alpha 90.00
_cell_angle_beta 98.56
_cell_angle_gamma 90.00
loop_
_symmetry_equiv_pos_as_xyz
'x,y,z'
'x,-y,z'
'x+1/2,y+1/2,z'
'x+1/2,-y+1/2,z'
loop_
_atom_site_label
_atom_site_fract_x
_atom_site_fract_y
_atom_site_fract_z
Ce1 0.000 0.000 0.000
Tm1 0.071 0.500 0.711
Tm2 0.212 0.500 0.142
Tm3 0.286 0.000 0.850
Tm4 0.358 0.500 0.565
Tm5 0.429 0.000 0.282
Sc1 0.141 0.000 0.426
```

Peak list (10 most intense, 10 to 90 degrees two-theta, in order of rising 2θ)
- 2θ 31.60, I = 100, (3 1 -1)
- 2θ 31.72, I = 99, (1 1 2)
- 2θ 36.54, I = 34, (0 2 0)
- 2θ 36.71, I = 33, (2 0 -3)
- 2θ 36.90, I = 33, (4 0 1)
- 2θ 52.76, I = 24, (2 2 -3)
- 2θ 52.89, I = 36, (4 2 1)
- 2θ 62.74, I = 28, (1 3 2)
- 2θ 63.09, I = 28, (7 1 0)
- 2θ 86.60, I = 18, (7 3 0)